Diffraction record for Li7Zn6Ag16. The powder X-ray diffraction pattern is simulated, not measured: it uses DFT lattice parameters and positions (GGA-PBE) and Cu Kα X-rays.
No peak broadening, texture or thermal motion is included.

Peak list (10 most intense, 15° ≤ 2θ ≤ 90°, in order of rising 2θ)
two_theta  intensity
20.05  3
24.62  8
28.50  47
40.75  100
48.19  4
50.48  12
58.99  15
66.80  14
74.17  30
88.26  9

abc: 8.8576 8.8576 8.8576
angles: 60.00 60.00 60.00
Atoms (fractional coordinates):
Li  0.0000  0.0000  0.0000
Li  0.0000  0.0000  0.5000
Li  0.0000  0.5000  0.0000
Li  0.0000  0.5000  0.5000
Li  0.5000  0.0000  0.0000
Li  0.5000  0.0000  0.5000
Li  0.5000  0.5000  0.0000
Zn  0.2435  0.2435  0.7565
Zn  0.2435  0.7565  0.2435
Zn  0.2435  0.7565  0.7565
Zn  0.7565  0.2435  0.2435
Zn  0.7565  0.2435  0.7565
Zn  0.7565  0.7565  0.2435
Ag  0.1302  0.1302  0.1302
Ag  0.1302  0.1302  0.6093
Ag  0.1302  0.6093  0.1302
Ag  0.1377  0.6208  0.6208
Ag  0.3792  0.3792  0.3792
Ag  0.3792  0.3792  0.8623
Ag  0.3792  0.8623  0.3792
Ag  0.3907  0.8698  0.8698
Ag  0.6093  0.1302  0.1302
Ag  0.6208  0.1377  0.6208
Ag  0.6208  0.6208  0.1377
Ag  0.6208  0.6208  0.6208
Ag  0.8623  0.3792  0.3792
Ag  0.8698  0.3907  0.8698
Ag  0.8698  0.8698  0.3907
Ag  0.8698  0.8698  0.8698